(1)
For MoSe2Cl12, DFT lattice parameters and positions (PBE) gives the computed powder X-ray diffraction pattern in this record (CuKα).
No peak broadening, texture or thermal motion is included.

Structure:
a b c (Å): 11.696 12.712 21.583
angles (deg): 90.00 90.00 90.00
Space group Fdd2 (No. 43)
One atom of each set of equivalent atoms:
Mo: 0.000 0.000 0.000
Se: 0.007 0.223 0.582
Cl: 0.114 0.168 0.504
Cl: 0.115 0.157 0.001
Cl: 0.115 0.423 0.579
Cl: 0.119 0.160 0.657
Cl: 0.120 0.423 0.424
Cl: 0.122 0.402 0.078

Main lines, most intense first (2θ from 10° to 90°):
| hkl | two_theta | intensity |
| --- | --- | --- |
| 2 0 2 | 17.2 | 100 |
| 2 2 6 | 32.4 | 84 |
| 4 2 6 | 42.3 | 55 |
| 2 2 4 | 26.5 | 45 |
| 2 4 0 | 32.1 | 42 |
| 0 2 2 | 16.2 | 36 |
| 4 4 0 | 42.0 | 35 |
| 1 3 1 | 22.7 | 35 |
| 1 1 3 | 16.1 | 30 |
| 1 1 1 | 11.1 | 30 |
| 0 6 6 | 50.0 | 28 |
| 0 0 4 | 16.4 | 24 |

=====

(2)
For Sr3Mo2Cl3, DFT lattice parameters and positions (PBE) gives the computed powder X-ray diffraction pattern in this record (CuKα).
No peak broadening, texture or thermal motion is included.

Structure:
a b c (Å): 4.756 4.756 12.059
angles (deg): 90.00 90.00 90.00
Space group P-4m2 (No. 115)
One atom of each set of equivalent atoms:
Sr: 0.000 0.000 0.000
Sr: 0.000 0.000 0.500
Sr: 0.500 0.500 0.000
Mo: 0.000 0.500 0.800
Cl: 0.500 0.500 0.236
Cl: 0.500 0.500 0.500

Main lines, most intense first (2θ from 10° to 90°):
| hkl | two_theta | intensity |
| --- | --- | --- |
| 1 1 2 | 30.4 | 100 |
| 1 0 1 | 20.1 | 72 |
| 2 0 0 | 37.8 | 58 |
| 1 0 2 | 23.8 | 35 |
| 0 0 4 | 29.6 | 33 |
| 2 0 4 | 48.8 | 31 |
| 3 1 2 | 63.8 | 31 |
| 1 1 4 | 40.2 | 28 |
| 2 2 0 | 54.6 | 19 |
| 2 1 1 | 43.2 | 19 |
| 1 1 3 | 34.8 | 17 |
| 0 0 6 | 45.2 | 17 |

=====

(3)
For Te3MoCl16, DFT lattice parameters and positions (PBE) gives the computed powder X-ray diffraction pattern in this record (CuKα).
No peak broadening, texture or thermal motion is included.

Structure:
a b c (Å): 15.573 12.809 11.965
angles (deg): 90.00 90.00 90.00
Space group Cmc2_1 (No. 36)
One atom of each set of equivalent atoms:
Te: 0.000 0.130 0.000
Te: 0.142 0.400 0.264
Mo: 0.000 0.328 0.739
Cl: 0.000 0.009 0.371
Cl: 0.000 0.198 0.611
Cl: 0.000 0.309 0.148
Cl: 0.000 0.477 0.873
Cl: 0.108 0.248 0.853
Cl: 0.111 0.420 0.636
Cl: 0.115 0.061 0.107
Cl: 0.149 0.252 0.383
Cl: 0.233 0.334 0.124
Cl: 0.250 0.007 0.860

Main lines, most intense first (2θ from 10° to 90°):
| hkl | two_theta | intensity |
| --- | --- | --- |
| 1 1 2 | 17.3 | 100 |
| 3 1 1 | 19.9 | 67 |
| 4 2 2 | 30.8 | 61 |
| 4 2 3 | 35.1 | 61 |
| 2 2 1 | 19.4 | 47 |
| 1 3 2 | 26.3 | 36 |
| 0 2 1 | 15.7 | 36 |
| 4 6 0 | 48.6 | 30 |
| 2 0 0 | 11.4 | 29 |
| 0 0 2 | 14.8 | 28 |
| 3 1 0 | 18.4 | 28 |
| 0 4 3 | 36.0 | 23 |

=====

(4)
For PrNdNCl, DFT lattice parameters and positions (PBE) gives the computed powder X-ray diffraction pattern in this record (CuKα).
No peak broadening, texture or thermal motion is included.

Structure:
a b c (Å): 3.6908 3.6908 14.1749
angles (deg): 90.00 90.00 120.00
Space group P-6m2 (No. 187)
One atom of each set of equivalent atoms:
Pr: 0.0000 0.0000 0.1549
Nd: 0.6667 0.3333 0.3440
N: 0.3333 0.6667 0.2535
Cl: 0.0000 0.0000 0.5000
Cl: 0.6667 0.3333 0.0000

Main lines, most intense first (2θ from 10° to 90°):
| hkl | two_theta | intensity |
| --- | --- | --- |
| 1 0 3 | 33.9 | 100 |
| 1 1 0 | 49.4 | 25 |
| 1 0 0 | 27.9 | 24 |
| 1 0 1 | 28.6 | 24 |
| 2 0 3 | 61.2 | 18 |
| 1 1 6 | 64.0 | 17 |
| 0 0 2 | 12.5 | 17 |
| 2 1 3 | 82.4 | 15 |
| 0 0 6 | 38.1 | 13 |
| 1 0 6 | 47.9 | 13 |
| 1 0 7 | 53.6 | 12 |
| 0 0 4 | 25.1 | 11 |

=====

(5)
For Nd2Sm2N2Cl5, DFT lattice parameters and positions (PBE) gives the computed powder X-ray diffraction pattern in this record (CuKα).
No peak broadening, texture or thermal motion is included.

Structure:
a b c (Å): 18.557 3.618 7.910
angles (deg): 90.00 115.12 90.00
Space group C2/m (No. 12)
One atom of each set of equivalent atoms:
Nd: 0.000 0.000 0.207
Sm: 0.178 0.500 0.178
N: 0.042 0.500 0.042
Cl: 0.000 0.500 0.500
Cl: 0.167 0.000 0.452
Cl: 0.168 0.000 0.881

Main lines, most intense first (2θ from 10° to 90°):
| hkl | two_theta | intensity |
| --- | --- | --- |
| 1 1 -2 | 34.0 | 100 |
| 0 0 1 | 12.4 | 72 |
| 7 1 -2 | 43.3 | 69 |
| 6 0 0 | 32.0 | 64 |
| 0 0 3 | 37.7 | 54 |
| 3 1 -1 | 29.2 | 50 |
| 3 1 0 | 29.4 | 41 |
| 4 0 -2 | 24.9 | 40 |
| 2 0 1 | 19.4 | 31 |
| 3 1 -3 | 42.4 | 26 |
| 0 2 3 | 64.7 | 22 |
| 1 1 -1 | 27.1 | 22 |

=====

(6)
For TaPNCl7, DFT lattice parameters and positions (PBE) gives the computed powder X-ray diffraction pattern in this record (CuKα).
No peak broadening, texture or thermal motion is included.

Structure:
a b c (Å): 6.728 11.460 15.386
angles (deg): 90.00 104.69 90.00
Space group P2_1/c (No. 14)
One atom of each set of equivalent atoms:
Ta: 0.020 0.082 0.121
P: 0.371 0.071 0.319
N: 0.228 0.107 0.227
Cl: 0.073 0.103 0.836
Cl: 0.076 0.250 0.043
Cl: 0.217 0.007 0.403
Cl: 0.245 0.522 0.540
Cl: 0.263 0.668 0.346
Cl: 0.427 0.053 0.691
Cl: 0.460 0.701 0.116

Main lines, most intense first (2θ from 10° to 90°):
| hkl | two_theta | intensity |
| --- | --- | --- |
| 1 1 -1 | 15.5 | 100 |
| 1 0 0 | 13.6 | 37 |
| 1 1 3 | 26.4 | 37 |
| 0 2 1 | 16.6 | 34 |
| 1 1 -2 | 17.5 | 26 |
| 0 0 4 | 23.9 | 25 |
| 1 1 1 | 18.0 | 22 |
| 2 2 -3 | 32.8 | 20 |
| 1 3 -2 | 28.2 | 17 |
| 0 1 2 | 14.2 | 16 |
| 0 3 6 | 43.5 | 16 |
| 1 1 -3 | 21.1 | 16 |

=====

(7)
For ZrP2NCl11, DFT lattice parameters and positions (PBE) gives the computed powder X-ray diffraction pattern in this record (CuKα).
No peak broadening, texture or thermal motion is included.

Structure:
a b c (Å): 18.426 11.874 16.166
angles (deg): 90.00 90.00 90.00
Space group Cmce (No. 64)
One atom of each set of equivalent atoms:
Zr: 0.000 0.149 0.068
P: 0.197 0.002 0.317
N: 0.250 0.049 0.250
Cl: 0.000 0.074 0.913
Cl: 0.000 0.157 0.525
Cl: 0.000 0.169 0.216
Cl: 0.117 0.092 0.728
Cl: 0.133 0.146 0.060
Cl: 0.151 0.128 0.377
Cl: 0.246 0.092 0.598

Main lines, most intense first (2θ from 10° to 90°):
| hkl | two_theta | intensity |
| --- | --- | --- |
| 4 2 3 | 29.6 | 100 |
| 3 1 1 | 17.2 | 74 |
| 3 1 3 | 23.2 | 69 |
| 1 1 1 | 10.4 | 66 |
| 2 2 0 | 17.8 | 61 |
| 1 1 2 | 14.1 | 60 |
| 0 2 3 | 22.3 | 51 |
| 0 0 6 | 33.3 | 50 |
| 1 1 6 | 34.5 | 49 |
| 2 0 2 | 14.6 | 49 |
| 0 2 2 | 18.6 | 46 |
| 0 4 0 | 30.1 | 43 |

=====

(8)
For Pr4S3NCl3, DFT lattice parameters and positions (PBE) gives the computed powder X-ray diffraction pattern in this record (CuKα).
No peak broadening, texture or thermal motion is included.

Structure:
a b c (Å): 9.4171 9.4171 6.9297
angles (deg): 90.00 90.00 120.00
Space group P6_3mc (No. 186)
One atom of each set of equivalent atoms:
Pr: 0.2016 0.4033 0.0000
Pr: 0.3333 0.6667 0.5344
S: 0.0644 0.5322 0.2778
N: 0.3333 0.6667 0.8799
Cl: 0.1316 0.2632 0.6098

Main lines, most intense first (2θ from 10° to 90°):
| hkl | two_theta | intensity |
| --- | --- | --- |
| 2 0 1 | 25.3 | 100 |
| 3 0 1 | 35.5 | 52 |
| 2 0 2 | 34.0 | 48 |
| 2 0 3 | 45.1 | 34 |
| 0 0 2 | 25.7 | 33 |
| 2 1 1 | 31.8 | 33 |
| 2 2 0 | 38.2 | 32 |
| 2 0 0 | 21.8 | 29 |
| 1 0 0 | 10.8 | 29 |
| 2 1 2 | 39.1 | 20 |
| 2 2 2 | 46.6 | 16 |
| 4 0 1 | 46.4 | 12 |